Calculated powder X-ray diffraction pattern
Compound: Cr2O3
Radiation: Cu Kα (weighted mean of Kα1 and Kα2)
Structure: the PBE+U geometry in the Materials Project
Kinematic intensities with the Lorentz-polarization factor, no thermal factor.

Atomic structure:
```
data_Cr2O3
_cell_length_a 9.676
_cell_length_b 6.230
_cell_length_c 5.252
_cell_angle_alpha 90.00
_cell_angle_beta 115.55
_cell_angle_gamma 90.00
_space_group_name_H-M_alt 'C 1 2/c 1'
_space_group_IT_number 15
loop_
_space_group_symop_operation_xyz
'x,y,z'
'-x,-y,-z'
'-x,y,-z+1/2'
'x,-y,z+1/2'
'x+1/2,y+1/2,z'
'-x+1/2,-y+1/2,-z'
'-x+1/2,y+1/2,-z+1/2'
'x+1/2,-y+1/2,z+1/2'
loop_
_atom_site_label
_atom_site_type_symbol
_atom_site_fract_x
_atom_site_fract_y
_atom_site_fract_z
Cr1 Cr 0.150 0.110 0.069
O1 O 0.000 0.076 0.250
O2 O 0.235 0.393 0.163
```

Largest 12 diffraction maxima, sorted by position, 15° ≤ 2θ ≤ 90°:
| hkl | 2theta | Rel. int. |
| --- | --- | --- |
| 1 1 0 | 17.5 | 100 |
| 2 0 0 | 20.3 | 24 |
| 1 1 -1 | 22.2 | 18 |
| 1 1 1 | 28.8 | 58 |
| 3 1 0 | 34.0 | 15 |
| 2 0 -2 | 34.4 | 12 |
| 2 2 -1 | 35.7 | 15 |
| 4 0 -2 | 42.5 | 25 |
| 2 2 1 | 44.6 | 26 |
| 1 3 1 | 50.9 | 21 |
| 5 1 -2 | 52.0 | 11 |
| 6 2 -1 | 65.7 | 10 |